# 1
Starting from a crystal structure in Alexandria, relaxed with PBE, the XRD peak list of Dy4PaC4 was computed for a wavelength of 1.5418 Å.
No peak broadening, texture or thermal motion is included.

The 10 most intense peaks (5 to 70 degrees two-theta), in order of falling intensity:
two_theta	I_rel	h k l
30.16	100	1 1 1
34.97	54	3 1 -2
30.30	32	4 0 -1
50.26	29	0 2 0
59.74	28	4 2 -1
35.09	28	2 0 2
50.47	19	5 1 0
62.72	14	2 2 2
59.88	14	0 0 5
59.93	10	3 1 3

Cell: 11.993 3.634 8.894 Å, 90.00 119.65 90.00°
Space group C2/m (No. 12)
Inequivalent atoms, fractional coordinates:
1 Dy 0.111 0.000 0.389 [4 per cell]
2 Dy 0.205 0.500 0.810 [4 per cell]
3 Pa 0.000 0.500 0.000 [2 per cell]
4 C 0.092 0.000 0.905 [4 per cell]
5 C 0.197 0.500 0.294 [4 per cell]

# 2
Starting from a crystal structure in Alexandria, relaxed with PBE, the XRD peak list of Rb2TiAlTe5 was computed for a wavelength of 1.5418 Å.
No peak broadening, texture or thermal motion is included.

The 10 most intense peaks (5 to 70 degrees two-theta), in order of falling intensity:
two_theta	I_rel	h k l
28.50	100	1 1 3
30.09	53	1 5 0
27.89	43	1 3 2
23.21	34	0 4 3
42.95	31	1 7 4
33.93	26	0 8 2
23.95	26	0 2 4
24.47	26	0 6 1
7.88	24	0 2 0
52.18	24	1 9 5

Cell: 3.963 22.437 15.748 Å, 90.00 90.00 90.00°
Space group Cmc2_1 (No. 36)
Inequivalent atoms, fractional coordinates:
1 Rb 0.000 0.125 0.000 [4 per cell]
2 Rb 0.000 0.139 0.372 [4 per cell]
3 Ti 0.000 0.205 0.710 [4 per cell]
4 Al 0.000 0.421 0.104 [4 per cell]
5 Te 0.000 0.069 0.714 [4 per cell]
6 Te 0.000 0.301 0.329 [4 per cell]
7 Te 0.000 0.304 0.075 [4 per cell]
8 Te 0.000 0.322 0.683 [4 per cell]
9 Te 0.000 0.486 0.967 [4 per cell]